[1]
# Hf2Zr3Pb3
Simulated powder XRD pattern, Cu Kα X-rays. Input: a GGA-PBE-relaxed structure.
No peak broadening, texture or thermal motion is included.

Largest 12 diffraction maxima, low angle first, 2θ from 15° to 90°:
| 2θ/deg | d/Å | I_rel |
| --- | --- | --- |
| 25.68 | 3.469 | 37 |
| 30.59 | 2.922 | 16 |
| 31.72 | 2.821 | 27 |
| 35.33 | 2.541 | 89 |
| 36.10 | 2.488 | 71 |
| 37.17 | 2.419 | 100 |
| 39.15 | 2.301 | 24 |
| 46.54 | 1.951 | 32 |
| 52.78 | 1.734 | 21 |
| 57.49 | 1.603 | 22 |
| 70.88 | 1.329 | 24 |
| 75.45 | 1.260 | 17 |

Cell and atoms:
```
data_Hf2Zr3Pb3
_chemical_formula_sum 'Hf4 Zr6 Pb6'
_cell_length_a 8.6192
_cell_length_b 8.6192
_cell_length_c 5.8448
_cell_angle_alpha 90.00
_cell_angle_beta 90.00
_cell_angle_gamma 120.00
_space_group_name_H-M_alt 'P 63/m c m'
_space_group_IT_number 193
_space_group_name_Hall '-P 6c 2'
loop_
_atom_site_label
_atom_site_fract_x
_atom_site_fract_y
_atom_site_fract_z
Hf1 0.3333 0.6667 0.0000
Zr1 0.0000 0.2458 0.2500
Pb1 0.0000 0.3922 0.7500
```

[2]
# PrTi2O5
Simulated powder XRD pattern, Cu Kα X-rays. Input: a GGA-PBE-relaxed structure.
No peak broadening, texture or thermal motion is included.

Largest 12 diffraction maxima, low angle first, 2θ from 15° to 90°:
| 2θ/deg | d/Å | I_rel |
| --- | --- | --- |
| 19.19 | 4.624 | 36 |
| 23.19 | 3.836 | 100 |
| 28.69 | 3.111 | 55 |
| 30.06 | 2.973 | 65 |
| 31.00 | 2.884 | 80 |
| 33.16 | 2.701 | 81 |
| 35.08 | 2.558 | 30 |
| 45.77 | 1.982 | 28 |
| 46.34 | 1.959 | 57 |
| 49.39 | 1.845 | 29 |
| 53.88 | 1.702 | 34 |
| 63.01 | 1.475 | 30 |

Cell and atoms:
```
data_PrTi2O5
_chemical_formula_sum 'Pr2 Ti4 O10'
_cell_length_a 3.6904
_cell_length_b 11.8939
_cell_length_c 5.0191
_cell_angle_alpha 90.00
_cell_angle_beta 90.00
_cell_angle_gamma 90.00
_space_group_name_H-M_alt 'P m m n'
_space_group_IT_number 59
loop_
_space_group_symop_operation_xyz
'x,y,z'
'-x,-y,-z'
'-x+1/2,-y+1/2,z'
'x+1/2,y+1/2,-z'
'x+1/2,-y,-z'
'-x+1/2,y,z'
'-x,y+1/2,-z'
'x,-y+1/2,z'
loop_
_atom_site_label
_atom_site_fract_x
_atom_site_fract_y
_atom_site_fract_z
Pr1 0.2500 0.2500 0.1130
Ti1 0.2500 0.5929 0.4245
O1 0.2500 0.0813 0.4333
O2 0.2500 0.6304 0.0822
O3 0.2500 0.7500 0.5744
```